Record 1
Structure and theoretical powder X-ray diffraction pattern of AlCr5S8 (a crystal structure in Alexandria, relaxed with PBE; copper Kα).

Cell and atoms:
Cell lengths 10.0615, 10.0615, 10.0615 Å; angles 90.00, 90.00, 90.00 degrees
Space group F-43m (No. 216)
Inequivalent atoms, fractional coordinates:
Al 0.0000 0.0000 0.0000 (multiplicity 4)
Cr 0.1223 0.1223 0.3777 (multiplicity 16)
Cr 0.2500 0.2500 0.7500 (multiplicity 4)
S 0.1150 0.1150 0.6150 (multiplicity 16)
S 0.1324 0.1324 0.1324 (multiplicity 16)

Main lines, by angle (15° ≤ 2θ ≤ 90°):
(hkl)	2θ/deg	I_rel
1 1 1	15.3	37
2 2 0	25.0	20
3 1 1	29.4	93
4 0 0	35.7	81
5 1 1	46.9	45
4 4 0	51.4	100
5 3 3	60.3	10
4 4 4	64.1	15
5 5 3	72.1	15
8 0 0	75.6	14
5 5 5	83.1	11
8 4 0	86.5	19

---

Record 2
Structure and theoretical powder X-ray diffraction pattern of AlCr2S4 (a crystal structure in Alexandria, relaxed with PBE; copper Kα).

Cell and atoms:
Cell lengths 7.0860, 7.0860, 10.0121 Å; angles 90.00, 90.00, 90.00 degrees
Space group I4_1/amd (No. 141, origin choice 2)
Inequivalent atoms, fractional coordinates:
Al 0.0000 0.2500 0.3750 (multiplicity 4)
Cr 0.0000 0.0000 0.0000 (multiplicity 8)
S 0.0000 0.0151 0.7574 (multiplicity 16)

Main lines, by angle (15° ≤ 2θ ≤ 90°):
(hkl)	2θ/deg	I_rel
1 0 1	15.3	52
2 0 0	25.1	10
1 0 3	29.6	76
2 2 0	35.9	100
3 2 1	47.1	37
4 0 0	51.6	98
3 2 3	54.2	9
4 0 4	64.4	19
5 0 3	72.5	13
0 0 8	76.0	14
5 0 5	83.6	9
2 2 8	87.0	24

---

Record 3
Structure and theoretical powder X-ray diffraction pattern of Al9Cr3Si (a crystal structure in Alexandria, relaxed with PBE; copper Kα).

Cell and atoms:
Cell lengths 7.5134, 7.5134, 7.8208 Å; angles 90.00, 90.00, 120.00 degrees
Space group P6_3/mmc (No. 194)
Inequivalent atoms, fractional coordinates:
Al 0.0861 0.5430 0.2500 (multiplicity 6)
Al 0.2014 0.4029 0.5626 (multiplicity 12)
Cr 0.1160 0.2319 0.2500 (multiplicity 6)
Si 0.0000 0.0000 0.0000 (multiplicity 2)

Main lines, by angle (15° ≤ 2θ ≤ 90°):
(hkl)	2θ/deg	I_rel
0 0 2	22.7	16
1 0 3	37.2	33
3 0 0	41.6	24
3 0 1	43.3	100
2 1 2	43.5	91
2 0 3	44.5	56
0 0 4	46.4	16
2 2 0	48.5	13
3 2 3	73.0	20
3 0 5	74.8	28
3 3 0	76.0	17
5 0 2	77.3	16

---

Record 4
Structure and theoretical powder X-ray diffraction pattern of AlCr2Si (a crystal structure in Alexandria, relaxed with PBE; copper Kα).

Cell and atoms:
Cell lengths 3.0572, 4.1759, 7.8260 Å; angles 90.00, 90.00, 90.00 degrees
Space group Cmmm (No. 65)
Inequivalent atoms, fractional coordinates:
Al 0.0000 0.0000 0.0000 (multiplicity 2)
Cr 0.0000 0.5000 0.2628 (multiplicity 4)
Si 0.0000 0.0000 0.5000 (multiplicity 2)

Main lines, by angle (15° ≤ 2θ ≤ 90°):
(hkl)	2θ/deg	I_rel
0 0 2	22.7	11
1 1 0	36.4	7
0 2 0	43.4	100
0 0 4	46.4	15
0 2 2	49.5	2
1 1 3	51.0	1
1 1 4	60.4	2
2 0 0	60.6	7
0 2 4	65.4	10
2 2 0	77.4	6
1 3 2	79.5	17
1 1 6	83.9	9

---

Record 5
Structure and theoretical powder X-ray diffraction pattern of Al13Cr4Si4 (a crystal structure in Alexandria, relaxed with PBE; copper Kα).

Cell and atoms:
Cell lengths 10.9040, 10.9040, 10.9040 Å; angles 90.00, 90.00, 90.00 degrees
Space group F-43m (No. 216)
Inequivalent atoms, fractional coordinates:
Al 0.0000 0.0000 0.0000 (multiplicity 4)
Al 0.0000 0.0000 0.3092 (multiplicity 24)
Al 0.0592 0.2500 0.7500 (multiplicity 24)
Cr 0.1578 0.1578 0.3422 (multiplicity 16)
Si 0.1274 0.1274 0.1274 (multiplicity 16)

Main lines, by angle (15° ≤ 2θ ≤ 90°):
(hkl)	2θ/deg	I_rel
2 0 0	16.3	10
3 1 1	27.1	19
3 3 1	35.9	20
4 2 0	36.9	9
4 2 2	40.5	34
3 3 3	43.1	100
4 4 0	47.1	38
6 0 0	50.2	12
5 5 3	65.8	11
6 6 0	73.7	27
5 5 5	75.5	10
9 3 3	89.4	16

---

Record 6
Structure and theoretical powder X-ray diffraction pattern of Al3Cr20Si9 (a crystal structure in Alexandria, relaxed with PBE; copper Kα).

Cell and atoms:
Cell lengths 4.6369, 12.9085, 12.9153 Å; angles 90.00, 90.00, 90.00 degrees
Space group C222 (No. 21)
Inequivalent atoms, fractional coordinates:
Al 0.0000 0.0000 0.0000 (multiplicity 2)
Al 0.0000 0.0000 0.5000 (multiplicity 2)
Al 0.0000 0.5000 0.0000 (multiplicity 2)
Cr 0.0000 0.2500 0.2518 (multiplicity 8)
Cr 0.2441 0.4229 0.6550 (multiplicity 8)
Cr 0.2450 0.3451 0.4225 (multiplicity 8)
Cr 0.2486 0.4208 0.8413 (multiplicity 8)
Cr 0.2501 0.1593 0.0788 (multiplicity 8)
Si 0.0000 0.5000 0.5000 (multiplicity 2)
Si 0.2464 0.0832 0.2499 (multiplicity 8)
Si 0.2500 0.2500 0.5822 (multiplicity 4)
Si 0.2500 0.2500 0.9155 (multiplicity 4)

Main lines, by angle (15° ≤ 2θ ≤ 90°):
(hkl)	2θ/deg	I_rel
1 3 1	29.1	20
2 0 0	38.8	29
0 4 4	39.5	18
1 1 5	40.6	63
2 2 2	43.8	54
0 6 2	44.4	78
1 5 3	45.4	100
2 0 4	48.3	53
1 7 3	57.9	22
2 6 6	74.6	18
3 5 3	74.9	20
0 6 10	88.3	11

---

Record 7
Structure and theoretical powder X-ray diffraction pattern of Al8Cr4Si3 (a crystal structure in Alexandria, relaxed with PBE; copper Kα).

Cell and atoms:
Cell lengths 4.9314, 5.1548, 8.8606 Å; angles 106.52, 90.40, 101.40 degrees
Space group P-1 (No. 2)
Inequivalent atoms, fractional coordinates:
Al 0.0060 0.0968 0.3710 (multiplicity 2)
Al 0.0868 0.3393 0.8761 (multiplicity 2)
Al 0.3248 0.2835 0.1350 (multiplicity 2)
Al 0.4395 0.8298 0.1793 (multiplicity 2)
Cr 0.1761 0.6158 0.3765 (multiplicity 2)
Cr 0.2022 0.8532 0.8998 (multiplicity 2)
Si 0.3396 0.5430 0.6258 (multiplicity 2)
Si 0.5000 0.0000 0.5000 (multiplicity 1)

Main lines, by angle (15° ≤ 2θ ≤ 90°):
(hkl)	2θ/deg	I_rel
1 -1 0	23.2	36
0 1 -2	23.5	27
0 2 -3	41.5	74
2 0 -2	41.8	100
-1 2 1	42.1	70
2 -1 2	42.3	55
0 0 4	42.7	71
1 -2 3	43.2	41
1 2 -1	43.6	60
2 0 2	44.5	35
2 1 -1	44.7	38
-2 1 2	45.4	39

---

Record 8
Structure and theoretical powder X-ray diffraction pattern of TaAlCr (a crystal structure in Alexandria, relaxed with PBE; copper Kα).

Cell and atoms:
Cell lengths 4.8983, 5.0909, 7.0947 Å; angles 90.00, 90.00, 90.00 degrees
Space group Imma (No. 74)
Inequivalent atoms, fractional coordinates:
Ta 0.0000 0.2500 0.1236 (multiplicity 4)
Al 0.0000 0.0000 0.5000 (multiplicity 4)
Cr 0.2500 0.2500 0.7500 (multiplicity 4)

Main lines, by angle (15° ≤ 2θ ≤ 90°):
(hkl)	2θ/deg	I_rel
0 1 1	21.5	27
1 0 1	22.1	53
0 2 0	35.3	35
1 1 2	35.9	100
2 0 0	36.7	17
1 2 1	42.0	48
0 1 3	42.1	34
1 0 3	42.4	22
2 1 1	42.9	61
1 3 2	63.7	19
3 1 2	65.6	18
2 2 4	76.1	23